[1]
The following is a computed powder diffractogram of Li4Cr3FeO8. It was derived from a PBE+U-relaxed structure, using Cu Kα (λ = 1.5418 Å).
Peak positions follow from Bragg's law for the DFT cell and can differ from measured ones.

Cell and atoms:
```
32
Lattice="5.1140 0.0000 0.0000 -1.6710 5.6386 0.0000 -0.8603 -3.3061 9.9923" Properties=species:S:1:pos:R:3 pbc="T T T"
Li 0.0000 0.0000 0.0000
Li 4.2575 -1.7832 7.5128
Li -0.8470 -0.2467 5.0044
Li -0.8328 2.8116 0.0057
Li -1.6942 1.0454 7.5192
Li -1.6765 2.5736 5.0031
Li 4.2706 1.2834 2.4980
Li 3.4348 4.1033 2.4983
Cr 1.7112 0.5083 3.7707
Cr 1.7218 2.0449 1.2575
Cr 0.8634 0.2766 8.7434
Cr 0.8733 1.7998 6.2512
Cr 0.8701 3.3468 3.7668
Cr 0.8823 4.8757 1.2443
Fe 1.7014 -2.5047 8.6901
Fe 1.7052 -1.0324 6.2866
O -0.7408 2.8688 6.8111
O 0.0840 -1.4589 9.4014
O -0.7301 1.2837 9.4192
O 0.9779 0.2951 1.9056
O 0.1361 1.5830 4.4013
O 0.9760 -1.2298 4.4262
O 0.1483 3.1190 1.9135
O 0.1562 0.0361 6.8889
O 2.4345 0.7110 5.6177
O 1.5850 3.5710 5.6282
O 2.4541 3.7995 0.6107
O 2.4480 2.2743 3.1179
O 3.2895 -0.5503 3.1192
O 3.3182 0.9892 0.6717
O 1.6484 2.0125 8.0885
O 2.4791 -0.7169 8.0668
```

Top 10 peaks for 10 to 90 degrees two-theta, in order of rising 2θ:
2θ (°)	intensity
18.37	100
35.83	26
35.95	13
43.41	26
43.55	53
47.65	8
57.49	9
63.21	14
63.45	14
66.62	9

---

[2]
The following is a computed powder diffractogram of Li9Mn2Co5O16. It was derived from a PBE+U-relaxed structure, using Cu Kα (λ = 1.5418 Å).
Peak positions follow from Bragg's law for the DFT cell and can differ from measured ones.

Cell and atoms:
```
32
Lattice="9.7983 -1.4529 0.0000 9.7983 1.4529 0.0000 -1.0997 0.0000 10.2225" Properties=species:S:1:pos:R:3 pbc="T T T"
Li 0.0000 0.0000 0.0000
Li 1.5876 0.0000 7.1381
Li 2.2162 0.0000 1.7349
Li 7.4600 0.0000 0.5447
Li 6.9063 0.0000 5.8162
Li 11.5907 0.0000 4.4062
Li 11.0370 0.0000 9.6778
Li 16.2807 0.0000 8.4876
Li 16.9094 0.0000 3.0844
Mn 4.5082 0.0000 3.8189
Mn 13.9888 0.0000 6.4035
Co -0.5498 0.0000 5.1112
Co 3.9123 0.0000 9.0041
Co 8.8818 0.0000 7.8401
Co 9.6152 0.0000 2.3824
Co 14.5847 0.0000 1.2183
O 0.6583 0.0000 3.6320
O 0.2376 0.0000 8.5368
O 3.7018 0.0000 0.3253
O 3.2697 0.0000 5.4340
O 5.1879 0.0000 7.1904
O 5.7534 0.0000 2.4138
O 7.6137 0.0000 9.1133
O 8.2962 0.0000 4.2665
O 10.2007 0.0000 5.9560
O 10.8833 0.0000 1.1091
O 12.7436 0.0000 7.8086
O 13.3090 0.0000 3.0321
O 15.2273 0.0000 4.7885
O 14.7952 0.0000 9.8972
O 18.2594 0.0000 1.6857
O 17.8387 0.0000 6.5904
```

Top 10 peaks for 10 to 90 degrees two-theta, in order of rising 2θ:
2θ (°)	intensity
18.21	100
35.34	13
36.10	27
42.61	26
43.72	53
47.30	8
57.51	9
62.42	14
62.99	20
64.10	7

---

[3]
The following is a computed powder diffractogram of LiVSO4F3. It was derived from a PBE+U-relaxed structure, using Cu Kα (λ = 1.5418 Å).
Peak positions follow from Bragg's law for the DFT cell and can differ from measured ones.

Cell and atoms:
```
40
Lattice="7.2075 0.0000 0.0000 0.0000 7.6799 0.0000 0.0000 0.0000 9.9782" Properties=species:S:1:pos:R:3 pbc="T T T"
Li 1.3754 1.0652 0.0000
Li 2.2283 4.9052 4.9891
Li 4.9791 2.7748 0.0000
Li 5.8320 6.6147 4.9891
V 0.0358 5.7763 2.1278
V 3.5679 1.9363 7.1168
V 3.6395 5.7436 2.1278
V 7.1717 1.9037 7.1168
S 1.7414 3.1474 2.3375
S 1.8623 6.9873 7.3266
S 5.3452 0.6926 2.3375
S 5.4660 4.5326 7.3266
O 0.7011 4.0626 1.6228
O 0.8216 0.2716 7.9362
O 1.1184 2.4413 3.4135
O 1.2678 6.1898 6.2556
O 2.3360 2.3498 1.2665
O 2.4853 6.2813 8.4026
O 2.7821 4.1116 2.9471
O 2.9027 0.2226 6.6119
O 4.3048 7.4573 1.6228
O 4.4253 3.5683 7.9362
O 4.7221 1.3986 3.4135
O 4.8715 5.3301 6.2556
O 5.9397 1.4901 1.2665
O 6.0890 5.2386 8.4026
O 6.3859 7.4083 2.9471
O 6.5064 3.6173 6.6119
F 0.0256 1.1072 5.5291
F 0.2783 5.3652 3.9236
F 1.7241 2.7154 7.1238
F 1.8797 6.5554 2.1348
F 3.3255 1.5252 8.9127
F 3.5781 4.9471 0.5400
F 3.6293 2.7328 5.5291
F 3.8820 6.1547 3.9236
F 5.3278 1.1245 7.1238
F 5.4834 4.9645 2.1348
F 6.9292 2.3147 8.9127
F 7.1819 6.5727 0.5400
```

Top 10 peaks for 10 to 90 degrees two-theta, in order of rising 2θ:
2θ (°)	intensity
14.55	54
17.78	100
19.09	61
23.16	14
26.30	20
28.79	66
31.92	24
34.12	10
41.58	12
57.43	10